Computed X-ray powder pattern
Compound: ErTm4Lu2Co2Te2
Radiation: Cu Kα (weighted mean of Kα1 and Kα2)
Structure: a DFT-relaxed cell (GGA-PBE, OQMD)
Lines closer than 0.1° are merged.

The 6 most intense peaks (2θ from 10° to 90°), low angle first:
2theta  d/Å  I (rel.)
29.23  3.055  38
30.87  2.896  54
33.59  2.668  86
34.53  2.597  100
35.09  2.557  56
59.80  1.546  33

Crystal structure
a b c (Å): 9.2122 9.2122 9.2122
angles (deg): 156.22 66.55 118.87
Sites, in units of the cell vectors:
Er  0.0000  0.0000  0.0000
Tm  0.0791  0.7277  0.3514
Tm  0.3763  0.7277  0.6486
Tm  0.4457  0.5813  0.8644
Tm  0.7169  0.5813  0.1356
Lu  0.0605  0.3745  0.6860
Lu  0.6885  0.3745  0.3140
Co  0.3047  0.0687  0.2361
Co  0.8326  0.0687  0.7639
Te  0.3378  0.3378  0.0000
Te  0.7331  0.2331  0.5000

***

Computed X-ray powder pattern
Compound: NaErCoS3
Radiation: Cu Kα (weighted mean of Kα1 and Kα2)
Structure: a DFT-relaxed cell (GGA-PBE, OQMD)
Lines closer than 0.1° are merged.

The 6 most intense peaks (2θ from 10° to 90°), low angle first:
2theta  d/Å  I (rel.)
13.80  6.415  100
29.87  2.991  41
31.36  2.852  18
35.97  2.497  52
37.54  2.396  19
46.07  1.970  26

Crystal structure
a b c (Å): 6.6943 6.6943 10.3319
angles (deg): 90.00 90.00 146.77
Sites, in units of the cell vectors:
Na  0.2476  0.7524  0.7500
Na  0.7524  0.2476  0.2500
Er  0.0000  0.0000  0.0000
Er  0.0000  0.0000  0.5000
Co  0.4722  0.5278  0.2500
Co  0.5278  0.4722  0.7500
S  0.0751  0.9249  0.2500
S  0.3669  0.6331  0.0766
S  0.3669  0.6331  0.4234
S  0.6331  0.3669  0.5766
S  0.6331  0.3669  0.9234
S  0.9249  0.0751  0.7500

***

Computed X-ray powder pattern
Compound: Pr2Nd3ErCoTe2
Radiation: Cu Kα (weighted mean of Kα1 and Kα2)
Structure: a DFT-relaxed cell (GGA-PBE, OQMD)
Lines closer than 0.1° are merged.

The 6 most intense peaks (2θ from 10° to 90°), low angle first:
2theta  d/Å  I (rel.)
30.56  2.926  100
31.61  2.831  27
31.81  2.814  56
32.84  2.727  54
32.96  2.717  24
56.51  1.629  25

Crystal structure
a b c (Å): 3.9871 8.5939 8.5939
angles (deg): 119.56 90.00 90.00
Sites, in units of the cell vectors:
Pr  0.0000  0.1185  0.8815
Pr  0.0000  0.8815  0.1185
Nd  0.5000  0.1170  0.5248
Nd  0.5000  0.5248  0.1170
Nd  0.5000  0.7051  0.7051
Er  0.0000  0.3512  0.3512
Co  0.5000  0.1316  0.1316
Te  0.0000  0.4498  0.7779
Te  0.0000  0.7779  0.4498

***

Computed X-ray powder pattern
Compound: ErCo3Ni2
Radiation: Cu Kα (weighted mean of Kα1 and Kα2)
Structure: a DFT-relaxed cell (GGA-PBE, OQMD)
Lines closer than 0.1° are merged.

The 6 most intense peaks (2θ from 10° to 90°), low angle first:
2theta  d/Å  I (rel.)
31.11  2.875  54
37.33  2.409  34
43.38  2.086  33
43.97  2.059  100
45.73  1.984  27
71.95  1.312  22

Crystal structure
a b c (Å): 4.8175 4.8175 3.9681
angles (deg): 90.00 90.00 120.00
Sites, in units of the cell vectors:
Er  0.0000  0.0000  0.0000
Co  0.0000  0.5000  0.5000
Co  0.5000  0.0000  0.5000
Co  0.5000  0.5000  0.5000
Ni  0.3333  0.6667  0.0000
Ni  0.6667  0.3333  0.0000

***

Computed X-ray powder pattern
Compound: Er3CoNi8
Radiation: Cu Kα (weighted mean of Kα1 and Kα2)
Structure: a DFT-relaxed cell (GGA-PBE, OQMD)
Lines closer than 0.1° are merged.

The 6 most intense peaks (2θ from 10° to 90°), low angle first:
2theta  d/Å  I (rel.)
33.40  2.683  49
36.44  2.466  38
36.65  2.452  51
42.75  2.115  37
43.18  2.095  100
70.50  1.336  20

Crystal structure
a b c (Å): 8.5577 8.5577 8.5577
angles (deg): 33.30 33.30 33.30
Sites, in units of the cell vectors:
Er  0.0000  0.0000  0.0000
Er  0.1397  0.1397  0.1397
Er  0.8603  0.8603  0.8603
Co  0.5000  0.5000  0.5000
Ni  0.0816  0.5828  0.5828
Ni  0.3333  0.3333  0.3333
Ni  0.4172  0.4172  0.9184
Ni  0.4172  0.9184  0.4172
Ni  0.5828  0.0816  0.5828
Ni  0.5828  0.5828  0.0816
Ni  0.6667  0.6667  0.6667
Ni  0.9184  0.4172  0.4172

***

Computed X-ray powder pattern
Compound: Er3Co8Ni
Radiation: Cu Kα (weighted mean of Kα1 and Kα2)
Structure: a DFT-relaxed cell (GGA-PBE, OQMD)
Lines closer than 0.1° are merged.

The 6 most intense peaks (2θ from 10° to 90°), low angle first:
2theta  d/Å  I (rel.)
33.28  2.692  55
36.29  2.476  48
36.70  2.449  59
42.80  2.113  43
43.13  2.097  100
70.53  1.335  22

Crystal structure
a b c (Å): 8.6081 8.6081 8.6081
angles (deg): 33.05 33.05 33.05
Sites, in units of the cell vectors:
Er  0.0000  0.0000  0.0000
Er  0.1393  0.1393  0.1393
Er  0.8607  0.8607  0.8607
Co  0.0795  0.5817  0.5817
Co  0.3341  0.3341  0.3341
Co  0.4183  0.4183  0.9205
Co  0.4183  0.9205  0.4183
Co  0.5817  0.0795  0.5817
Co  0.5817  0.5817  0.0795
Co  0.6659  0.6659  0.6659
Co  0.9205  0.4183  0.4183
Ni  0.5000  0.5000  0.5000

***

Computed X-ray powder pattern
Compound: Y2ErCo6Ni3
Radiation: Cu Kα (weighted mean of Kα1 and Kα2)
Structure: a DFT-relaxed cell (GGA-PBE, OQMD)
Lines closer than 0.1° are merged.

The 6 most intense peaks (2θ from 10° to 90°), low angle first:
2theta  d/Å  I (rel.)
33.01  2.713  34
35.96  2.498  37
36.78  2.444  42
42.89  2.109  35
43.02  2.103  100
70.55  1.335  21

Crystal structure
a b c (Å): 8.7188 8.7188 8.7188
angles (deg): 32.56 32.56 32.56
Sites, in units of the cell vectors:
Y  0.1387  0.1387  0.1387
Y  0.8613  0.8613  0.8613
Er  0.0000  0.0000  0.0000
Co  0.0805  0.5807  0.5807
Co  0.4193  0.4193  0.9195
Co  0.4193  0.9195  0.4193
Co  0.5807  0.0805  0.5807
Co  0.5807  0.5807  0.0805
Co  0.9195  0.4193  0.4193
Ni  0.3332  0.3332  0.3332
Ni  0.5000  0.5000  0.5000
Ni  0.6668  0.6668  0.6668